Structure and simulated XRD peak list of Er2AgIr (a cell relaxed with GGA-PBE; CuKα).
Neutral-atom scattering factors, no anomalous dispersion.

Principal peaks in the range 5 to 70 degrees two-theta, low angle first:
d [Å]	I/Imax	index
4.026	3	1 1 1
2.466	100	2 2 0
2.103	2	3 1 1
1.744	18	4 0 0
1.600	1	3 3 1
1.424	36	4 2 2

Atomic structure:
abc: 6.974 6.974 6.974
angles: 90.00 90.00 90.00
Space group Fm-3m (No. 225)
One atom of each set of equivalent atoms:
1 Er 0.250 0.250 0.250 (multiplicity 8)
2 Ag 0.000 0.000 0.000 (multiplicity 4)
3 Ir 0.000 0.000 0.500 (multiplicity 4)